[1]
Computed powder diffractogram
Compound: Ho3MgAl
Radiation: Cu Kα (weighted mean of Kα1 and Kα2)
Structure: a GGA-PBE-relaxed structure
Lines closer than 0.1° are merged.

```
data_Ho3MgAl
_chemical_formula_sum 'Ho12 Mg4 Al4'
_cell_length_a 5.105
_cell_length_b 20.150
_cell_length_c 5.104
_cell_angle_alpha 90.00
_cell_angle_beta 90.00
_cell_angle_gamma 90.00
_space_group_name_H-M_alt 'C m c m'
_space_group_IT_number 63
_space_group_name_Hall '-C 2c 2'
loop_
_atom_site_label
_atom_site_type_symbol
_atom_site_fract_x
_atom_site_fract_y
_atom_site_fract_z
Ho1 Ho 0.000 0.062 0.250
Ho2 Ho 0.000 0.249 0.250
Ho3 Ho 0.000 0.437 0.250
Mg1 Mg 0.000 0.157 0.750
Al1 Al 0.000 0.341 0.750
```

Main lines, sorted by position (10° ≤ 2θ ≤ 90°):
2θ 25.06, I 46
2θ 26.54, I 20
2θ 33.32, I 100
2θ 35.16, I 48
2θ 44.59, I 20
2θ 61.92, I 34



[2]
Computed powder diffractogram
Compound: HoMgAl
Radiation: Cu Kα (weighted mean of Kα1 and Kα2)
Structure: a GGA-PBE-relaxed structure
Lines closer than 0.1° are merged.

```
data_HoMgAl
_chemical_formula_sum 'Ho2 Mg2 Al2'
_cell_length_a 4.8043
_cell_length_b 4.8043
_cell_length_c 6.9455
_cell_angle_alpha 90.00
_cell_angle_beta 90.00
_cell_angle_gamma 120.00
_space_group_name_H-M_alt 'P 6/m m m'
_space_group_IT_number 191
_space_group_name_Hall '-P 6 2'
loop_
_atom_site_label
_atom_site_type_symbol
_atom_site_fract_x
_atom_site_fract_y
_atom_site_fract_z
Ho1 Ho 0.0000 0.0000 0.2385
Mg1 Mg 0.3333 0.6667 0.5000
Al1 Al 0.3333 0.6667 0.0000
```

Main lines, sorted by position (10° ≤ 2θ ≤ 90°):
2θ 21.36, I 81
2θ 33.62, I 100
2θ 37.44, I 49
2θ 51.19, I 30
2θ 65.12, I 29
2θ 66.44, I 17



[3]
Computed powder diffractogram
Compound: Ho4Mg3Al
Radiation: Cu Kα (weighted mean of Kα1 and Kα2)
Structure: a GGA-PBE-relaxed structure
Lines closer than 0.1° are merged.

```
data_Ho4Mg3Al
_chemical_formula_sum 'Ho12 Mg9 Al3'
_cell_length_a 5.2614
_cell_length_b 5.2614
_cell_length_c 25.7975
_cell_angle_alpha 90.00
_cell_angle_beta 90.00
_cell_angle_gamma 120.00
_space_group_name_H-M_alt 'R -3 m'
_space_group_IT_number 166
_space_group_name_Hall '-R 3 2"'
loop_
_atom_site_label
_atom_site_type_symbol
_atom_site_fract_x
_atom_site_fract_y
_atom_site_fract_z
Ho1 Ho 0.0000 0.0000 0.1216
Ho2 Ho 0.0000 0.0000 0.3719
Mg1 Mg 0.0000 0.0000 0.2471
Mg2 Mg 0.0000 0.0000 0.5000
Al1 Al 0.0000 0.0000 0.0000
```

Main lines, sorted by position (10° ≤ 2θ ≤ 90°):
2θ 23.91, I 64
2θ 34.07, I 100
2θ 42.05, I 19
2θ 48.95, I 18
2θ 55.19, I 26
2θ 60.99, I 36



[4]
Computed powder diffractogram
Compound: HoPuMgAl
Radiation: Cu Kα (weighted mean of Kα1 and Kα2)
Structure: a GGA-PBE-relaxed structure
Lines closer than 0.1° are merged.

```
data_HoPuMgAl
_chemical_formula_sum 'Ho4 Pu4 Mg4 Al4'
_cell_length_a 7.338
_cell_length_b 7.338
_cell_length_c 7.338
_cell_angle_alpha 90.00
_cell_angle_beta 90.00
_cell_angle_gamma 90.00
_space_group_name_H-M_alt 'F -4 3 m'
_space_group_IT_number 216
_space_group_name_Hall 'F -4 2 3'
loop_
_atom_site_label
_atom_site_type_symbol
_atom_site_fract_x
_atom_site_fract_y
_atom_site_fract_z
Ho1 Ho 0.000 0.000 0.000
Pu1 Pu 0.000 0.000 0.500
Mg1 Mg 0.250 0.250 0.250
Al1 Al 0.250 0.250 0.750
```

Main lines, sorted by position (10° ≤ 2θ ≤ 90°):
2θ 24.26, I 71
2θ 34.57, I 100
2θ 42.69, I 22
2θ 49.70, I 18
2θ 56.05, I 30
2θ 61.96, I 38



[5]
Computed powder diffractogram
Compound: Ho4MgAlZn2
Radiation: Cu Kα (weighted mean of Kα1 and Kα2)
Structure: a GGA-PBE-relaxed structure
Lines closer than 0.1° are merged.

```
data_Ho4MgAlZn2
_chemical_formula_sum 'Ho12 Mg3 Al3 Zn6'
_cell_length_a 5.1123
_cell_length_b 5.1123
_cell_length_c 25.1294
_cell_angle_alpha 90.00
_cell_angle_beta 90.00
_cell_angle_gamma 120.00
_space_group_name_H-M_alt 'R -3 m'
_space_group_IT_number 166
_space_group_name_Hall '-R 3 2"'
loop_
_atom_site_label
_atom_site_type_symbol
_atom_site_fract_x
_atom_site_fract_y
_atom_site_fract_z
Ho1 Ho 0.0000 0.0000 0.1215
Ho2 Ho 0.0000 0.0000 0.3719
Mg1 Mg 0.0000 0.0000 0.5000
Al1 Al 0.0000 0.0000 0.0000
Zn1 Zn 0.0000 0.0000 0.2446
```

Main lines, sorted by position (10° ≤ 2θ ≤ 90°):
2θ 24.60, I 36
2θ 35.07, I 100
2θ 43.34, I 8
2θ 50.43, I 17
2θ 62.77, I 8
2θ 62.95, I 27